This entry pairs a crystal structure of Ti8HN3 with its simulated powder diffractogram. Radiation: CuKα. Structure: a GGA-PBE-relaxed structure.
No peak broadening, texture or thermal motion is included.

Crystal structure
a b c (Å): 5.893 5.893 5.893
angles (deg): 61.26 61.26 61.26
Atoms (fractional coordinates):
Ti  0.247  0.749  0.749
Ti  0.248  0.248  0.248
Ti  0.251  0.251  0.753
Ti  0.251  0.753  0.251
Ti  0.749  0.247  0.749
Ti  0.749  0.749  0.247
Ti  0.752  0.752  0.752
Ti  0.753  0.251  0.251
H  0.500  0.500  0.500
N  0.000  0.000  0.500
N  0.000  0.500  0.000
N  0.500  0.000  0.000

Largest 8 diffraction maxima, low angle first, 2θ = 10–80°:
- 2θ 36.78, rel. 100
- 2θ 37.76, rel. 31
- 2θ 43.02, rel. 95
- 2θ 61.80, rel. 28
- 2θ 63.13, rel. 26
- 2θ 74.13, rel. 11
- 2θ 74.74, rel. 21
- 2θ 78.25, rel. 13